Simulated powder diffractogram of NiPAuO2 for Cu Kα, 1.54184 Å, from a structure optimized by DFT (GGA+U).

Atomic structure:
a = 3.609 Å, b = 3.609 Å, c = 5.118 Å
α = 90.00°, β = 90.00°, γ = 90.00°
Space group P4/mmm (No. 123)
Inequivalent atoms, fractional coordinates:
Ni 0.000 0.000 0.000 (multiplicity 1)
P 0.000 0.000 0.500 (multiplicity 1)
Au 0.500 0.500 0.500 (multiplicity 1)
O 0.000 0.500 0.000 (multiplicity 2)

Most intense lines, 2θ = 5–70°, sorted by position:
2θ (°)	intensity
17.33	28
30.30	100
35.06	34
35.16	43
39.45	35
50.54	54
60.11	29
63.03	23